[1]
This entry pairs a crystal structure of Sm2MnSbO7 with its theoretical X-ray diffraction stick pattern. Radiation: Cu Kα, 1.54184 Å. Structure: the PBE+U geometry in the Materials Project.
Kinematic intensities with the Lorentz-polarization factor, no thermal factor.

Structural model:
```
data_Sm2MnSbO7
_chemical_formula_sum 'Sm8 Mn4 Sb4 O28'
_symmetry_space_group_name_H-M 'I m m a'
_symmetry_Int_Tables_number 74
_symmetry_space_group_name_Hall '-I 2b 2'
_cell_length_a 7.2417
_cell_length_b 7.5718
_cell_length_c 10.5019
_cell_angle_alpha 90.00
_cell_angle_beta 90.00
_cell_angle_gamma 90.00
loop_
_atom_site_label
_atom_site_type_symbol
_atom_site_fract_x
_atom_site_fract_y
_atom_site_fract_z
Sm1 Sm 0.0000 0.0000 0.0000
Sm2 Sm 0.2500 0.2500 0.2500
Mn1 Mn 0.2500 0.2500 0.7500
Sb1 Sb 0.0000 0.0000 0.5000
O1 O 0.0000 0.2500 0.1223
O2 O 0.0000 0.2500 0.4245
O3 O 0.0000 0.2500 0.8289
O4 O 0.2044 0.0341 0.6251
```

Main lines, low angle first (2θ from 10° to 90°):
| index | 2theta | intensity |
| --- | --- | --- |
| 0 1 1 | 14.4 | 17 |
| 0 2 2 | 29.1 | 100 |
| 2 0 2 | 30.0 | 93 |
| 0 0 4 | 34.2 | 21 |
| 2 2 0 | 34.3 | 40 |
| 0 4 0 | 48.1 | 17 |
| 2 2 4 | 49.2 | 61 |
| 2 4 2 | 57.7 | 29 |
| 0 2 6 | 58.1 | 14 |
| 4 2 2 | 59.2 | 26 |

[2]
This entry pairs a crystal structure of Sr2Mn3Sb2O2 with its theoretical X-ray diffraction stick pattern. Radiation: Cu Kα, 1.54184 Å. Structure: the PBE+U geometry in the Materials Project.
Kinematic intensities with the Lorentz-polarization factor, no thermal factor.

Structural model:
```
data_Sr2Mn3Sb2O2
_chemical_formula_sum 'Sr4 Mn6 Sb4 O4'
_symmetry_space_group_name_H-M 'I 4/m m m'
_symmetry_Int_Tables_number 139
_symmetry_space_group_name_Hall '-I 4 2'
_cell_length_a 4.3451
_cell_length_b 4.3451
_cell_length_c 20.5659
_cell_angle_alpha 90.00
_cell_angle_beta 90.00
_cell_angle_gamma 90.00
loop_
_atom_site_label
_atom_site_type_symbol
_atom_site_fract_x
_atom_site_fract_y
_atom_site_fract_z
Sr1 Sr 0.0000 0.0000 0.0784
Mn1 Mn 0.0000 0.0000 0.5000
Mn2 Mn 0.0000 0.5000 0.2500
Sb1 Sb 0.0000 0.0000 0.3391
O1 O 0.0000 0.5000 0.0000
```

Main lines, low angle first (2θ from 10° to 90°):
| index | 2theta | intensity |
| --- | --- | --- |
| 1 0 3 | 24.3 | 77 |
| 1 1 0 | 29.1 | 65 |
| 1 0 5 | 29.9 | 86 |
| 1 1 4 | 34.0 | 77 |
| 1 0 7 | 36.9 | 100 |
| 2 0 0 | 41.6 | 87 |
| 2 1 5 | 52.1 | 35 |
| 2 1 7 | 56.8 | 56 |
| 2 2 0 | 60.2 | 28 |
| 2 0 12 | 69.9 | 31 |

[3]
This entry pairs a crystal structure of Tb2MnSbO7 with its theoretical X-ray diffraction stick pattern. Radiation: Cu Kα, 1.54184 Å. Structure: the PBE+U geometry in the Materials Project.
Kinematic intensities with the Lorentz-polarization factor, no thermal factor.

Structural model:
```
data_Tb2MnSbO7
_chemical_formula_sum 'Tb8 Mn4 Sb4 O28'
_symmetry_space_group_name_H-M 'I m m a'
_symmetry_Int_Tables_number 74
_symmetry_space_group_name_Hall '-I 2b 2'
_cell_length_a 7.1481
_cell_length_b 7.4860
_cell_length_c 10.3976
_cell_angle_alpha 90.00
_cell_angle_beta 90.00
_cell_angle_gamma 90.00
loop_
_atom_site_label
_atom_site_type_symbol
_atom_site_fract_x
_atom_site_fract_y
_atom_site_fract_z
Tb1 Tb 0.0000 0.0000 0.0000
Tb2 Tb 0.2500 0.2500 0.2500
Mn1 Mn 0.2500 0.2500 0.7500
Sb1 Sb 0.0000 0.0000 0.5000
O1 O 0.0000 0.2500 0.1230
O2 O 0.0000 0.2500 0.4221
O3 O 0.0000 0.2500 0.8313
O4 O 0.2074 0.0323 0.6257
```

Main lines, low angle first (2θ from 10° to 90°):
| index | 2theta | intensity |
| --- | --- | --- |
| 0 1 1 | 14.6 | 19 |
| 0 2 2 | 29.4 | 100 |
| 2 0 2 | 30.3 | 93 |
| 0 0 4 | 34.5 | 21 |
| 2 2 0 | 34.7 | 40 |
| 0 4 0 | 48.7 | 17 |
| 2 2 4 | 49.7 | 61 |
| 2 4 2 | 58.4 | 29 |
| 4 2 2 | 60.1 | 26 |
| 6 0 2 | 83.2 | 14 |

[4]
This entry pairs a crystal structure of Y3Mn2Sb3O14 with its theoretical X-ray diffraction stick pattern. Radiation: Cu Kα, 1.54184 Å. Structure: the PBE+U geometry in the Materials Project.
Kinematic intensities with the Lorentz-polarization factor, no thermal factor.

Structural model:
```
data_Y3Mn2Sb3O14
_chemical_formula_sum 'Y9 Mn6 Sb9 O42'
_symmetry_space_group_name_H-M 'R -3 m'
_symmetry_Int_Tables_number 166
_symmetry_space_group_name_Hall '-R 3 2"'
_cell_length_a 7.4747
_cell_length_b 7.4747
_cell_length_c 17.4961
_cell_angle_alpha 90.00
_cell_angle_beta 90.00
_cell_angle_gamma 120.00
loop_
_atom_site_label
_atom_site_type_symbol
_atom_site_fract_x
_atom_site_fract_y
_atom_site_fract_z
Y1 Y 0.0000 0.5000 0.0000
Mn1 Mn 0.0000 0.0000 0.0000
Mn2 Mn 0.0000 0.0000 0.5000
Sb1 Sb 0.0000 0.5000 0.5000
O1 O 0.0000 0.0000 0.3809
O2 O 0.0296 0.5148 0.6118
O3 O 0.0629 0.5315 0.8537
```

Main lines, low angle first (2θ from 10° to 90°):
| index | 2theta | intensity |
| --- | --- | --- |
| 2 0 2 | 29.4 | 100 |
| 0 0 6 | 30.7 | 32 |
| 0 2 4 | 34.5 | 36 |
| 2 2 0 | 48.7 | 36 |
| 2 0 8 | 50.4 | 30 |
| 0 4 2 | 58.0 | 15 |
| 2 2 6 | 58.7 | 27 |
| 0 2 10 | 60.1 | 13 |
| 0 4 8 | 72.7 | 9 |
| 4 2 2 | 79.0 | 11 |

[5]
This entry pairs a crystal structure of ScMnO3 with its theoretical X-ray diffraction stick pattern. Radiation: Cu Kα, 1.54184 Å. Structure: the PBE+U geometry in the Materials Project.
Kinematic intensities with the Lorentz-polarization factor, no thermal factor.

Structural model:
```
data_ScMnO3
_chemical_formula_sum 'Sc6 Mn6 O18'
_symmetry_space_group_name_H-M 'P 63 c m'
_symmetry_Int_Tables_number 185
_symmetry_space_group_name_Hall 'P 6c -2'
_cell_length_a 5.9405
_cell_length_b 5.9405
_cell_length_c 11.2935
_cell_angle_alpha 90.00
_cell_angle_beta 90.00
_cell_angle_gamma 120.00
loop_
_atom_site_label
_atom_site_type_symbol
_atom_site_fract_x
_atom_site_fract_y
_atom_site_fract_z
Sc1 Sc 0.0000 0.0000 0.0000
Sc2 Sc 0.3333 0.6667 0.4559
Mn1 Mn 0.0000 0.3329 0.2258
O1 O 0.0000 0.0000 0.1924
O2 O 0.0000 0.3024 0.3952
O3 O 0.0000 0.3659 0.0574
O4 O 0.3333 0.6667 0.2538
```

Main lines, low angle first (2θ from 10° to 90°):
| index | 2theta | intensity |
| --- | --- | --- |
| 1 1 1 | 31.1 | 100 |
| 0 0 4 | 31.7 | 34 |
| 1 1 2 | 34.1 | 44 |
| 1 1 4 | 44.3 | 7 |
| 1 1 5 | 50.8 | 23 |
| 3 0 0 | 53.4 | 50 |
| 1 1 6 | 58.0 | 17 |
| 2 2 1 | 63.1 | 10 |
| 3 0 4 | 63.5 | 24 |
| 1 1 7 | 65.9 | 8 |

[6]
This entry pairs a crystal structure of ScMnO3 with its theoretical X-ray diffraction stick pattern. Radiation: Cu Kα, 1.54184 Å. Structure: the PBE+U geometry in the Materials Project.
Kinematic intensities with the Lorentz-polarization factor, no thermal factor.

Structural model:
```
data_ScMnO3
_chemical_formula_sum 'Sc4 Mn4 O12'
_symmetry_space_group_name_H-M 'P 1 21/c 1'
_symmetry_Int_Tables_number 14
_cell_length_a 5.1167
_cell_length_b 5.4225
_cell_length_c 9.0991
_cell_angle_alpha 90.00
_cell_angle_beta 119.96
_cell_angle_gamma 90.00
loop_
_symmetry_equiv_pos_as_xyz
'x,y,z'
'-x,-y,-z'
'-x,y+1/2,-z+1/2'
'x,-y+1/2,z+1/2'
loop_
_atom_site_label
_atom_site_type_symbol
_atom_site_fract_x
_atom_site_fract_y
_atom_site_fract_z
Sc1 Sc 0.2056 0.0706 0.2304
Mn1 Mn 0.0000 0.0000 0.5000
Mn2 Mn 0.5000 0.0000 0.0000
O1 O 0.1283 0.1874 0.9471
O2 O 0.1953 0.6813 0.9002
O3 O 0.4252 0.0776 0.7731
```

Main lines, low angle first (2θ from 10° to 90°):
| index | 2theta | intensity |
| --- | --- | --- |
| 1 1 1 | 32.2 | 100 |
| 0 2 0 | 33.0 | 30 |
| 1 1 -3 | 34.0 | 68 |
| 2 0 -2 | 35.2 | 23 |
| 0 0 4 | 46.1 | 22 |
| 2 2 -2 | 49.0 | 33 |
| 1 3 -1 | 53.8 | 11 |
| 0 2 4 | 57.8 | 18 |
| 3 1 -1 | 60.1 | 20 |
| 3 1 -5 | 63.5 | 20 |